1.
BeSbTe2: computed powder diffractogram (Cu Ka), based on DFT lattice parameters and positions (GGA-PBE).
Peak positions follow from Bragg's law for the DFT cell and can differ from measured ones.

The 10 most intense peaks (15 to 90 degrees two-theta), by intensity:
2θ/deg	Rel. int.
27.7	100
25.8	70
42.3	61
33.8	38
58.9	35
44.3	33
35.4	31
69.5	15
68.3	14
57.7	14

Atomic structure:
```
data_BeSbTe2
_cell_length_a 6.977
_cell_length_b 6.977
_cell_length_c 6.977
_cell_angle_alpha 150.16
_cell_angle_beta 137.38
_cell_angle_gamma 52.90
_space_group_name_H-M_alt 'P 1'
_space_group_IT_number 1
loop_
_space_group_symop_operation_xyz
'x,y,z'
loop_
_atom_site_label
_atom_site_type_symbol
_atom_site_fract_x
_atom_site_fract_y
_atom_site_fract_z
_atom_site_occupancy
Be1 Be 0.000 0.000 0.000 1
Sb1 Sb 0.500 0.500 0.000 1
Te1 Te 0.147 0.647 0.500 1
Te2 Te 0.853 0.353 0.500 1
```


2.
LiCuS: computed powder diffractogram (Cu Ka), based on DFT lattice parameters and positions (GGA-PBE).
Peak positions follow from Bragg's law for the DFT cell and can differ from measured ones.

The 10 most intense peaks (15 to 90 degrees two-theta), by intensity:
2θ/deg	Rel. int.
33.7	100
16.7	94
28.2	41
34.2	33
41.2	27
26.2	23
54.3	23
53.9	23
26.4	22
58.4	19

Atomic structure:
```
data_LiCuS
_cell_length_a 7.030
_cell_length_b 7.002
_cell_length_c 6.056
_cell_angle_alpha 64.67
_cell_angle_beta 64.19
_cell_angle_gamma 51.14
_space_group_name_H-M_alt 'P 1'
_space_group_IT_number 1
loop_
_space_group_symop_operation_xyz
'x,y,z'
loop_
_atom_site_label
_atom_site_type_symbol
_atom_site_fract_x
_atom_site_fract_y
_atom_site_fract_z
_atom_site_occupancy
Li1 Li 0.014 0.014 0.736 1
Li2 Li 0.264 0.264 0.986 1
Li3 Li 0.736 0.736 0.014 1
Li4 Li 0.986 0.986 0.264 1
Cu1 Cu 0.000 0.500 0.500 1
Cu2 Cu 0.500 0.000 0.500 1
Cu3 Cu 0.500 0.500 0.000 1
Cu4 Cu 0.500 0.500 0.500 1
S1 S 0.102 0.648 0.102 1
S2 S 0.352 0.898 0.352 1
S3 S 0.648 0.102 0.648 1
S4 S 0.898 0.352 0.898 1
```


3.
ThBeRuC: computed powder diffractogram (Cu Ka), based on DFT lattice parameters and positions (GGA-PBE).
Peak positions follow from Bragg's law for the DFT cell and can differ from measured ones.

The 10 most intense peaks (15 to 90 degrees two-theta), by intensity:
2θ/deg	Rel. int.
25.9	100
35.4	74
31.6	74
31.2	55
39.9	45
59.1	40
58.8	37
48.5	35
55.8	26
54.9	26

Atomic structure:
```
data_ThBeRuC
_cell_length_a 3.752
_cell_length_b 3.752
_cell_length_c 8.611
_cell_angle_alpha 90.00
_cell_angle_beta 90.00
_cell_angle_gamma 90.00
_space_group_name_H-M_alt 'P 1'
_space_group_IT_number 1
loop_
_space_group_symop_operation_xyz
'x,y,z'
loop_
_atom_site_label
_atom_site_type_symbol
_atom_site_fract_x
_atom_site_fract_y
_atom_site_fract_z
_atom_site_occupancy
Th1 Th 0.250 0.250 0.162 1
Th2 Th 0.750 0.750 0.838 1
Be1 Be 0.250 0.250 0.672 1
Be2 Be 0.750 0.750 0.328 1
Ru1 Ru 0.250 0.750 0.500 1
Ru2 Ru 0.750 0.250 0.500 1
C1 C 0.250 0.250 0.872 1
C2 C 0.750 0.750 0.128 1
```


4.
Te2PdSe2I2: computed powder diffractogram (Cu Ka), based on DFT lattice parameters and positions (GGA-PBE).
Peak positions follow from Bragg's law for the DFT cell and can differ from measured ones.

The 10 most intense peaks (15 to 90 degrees two-theta), by intensity:
2θ/deg	Rel. int.
29.9	100
26.4	65
33.1	58
49.2	40
31.8	36
43.0	33
35.9	33
30.0	31
48.8	30
21.8	28

Atomic structure:
```
data_Te2PdSe2I2
_cell_length_a 6.787
_cell_length_b 6.787
_cell_length_c 8.457
_cell_angle_alpha 110.80
_cell_angle_beta 110.80
_cell_angle_gamma 36.09
_space_group_name_H-M_alt 'P 1'
_space_group_IT_number 1
loop_
_space_group_symop_operation_xyz
'x,y,z'
loop_
_atom_site_label
_atom_site_type_symbol
_atom_site_fract_x
_atom_site_fract_y
_atom_site_fract_z
_atom_site_occupancy
Te1 Te 0.125 0.125 0.063 1
Te2 Te 0.875 0.875 0.937 1
Pd1 Pd 0.000 0.000 0.500 1
Se1 Se 0.165 0.165 0.791 1
Se2 Se 0.835 0.835 0.209 1
I1 I 0.394 0.394 0.602 1
I2 I 0.606 0.606 0.398 1
```